(1)
Computed X-ray diffraction stick pattern
Compound: YPtAu
Radiation: a wavelength of 1.5418 Å
Structure: a DFT-relaxed cell (GGA-PBE, Alexandria)

Structural model:
```
6
Lattice="1.8394 -8.7720 0.0000 1.8394 8.7720 0.0000 0.0000 0.0000 3.9314" Properties=species:S:1:pos:R:3 pbc="T T T"
Y 1.8394 6.7813 2.9485
Y 1.8394 -6.7813 0.9828
Pt 1.8394 0.9142 2.9485
Pt 1.8394 -0.9142 0.9828
Au 1.8394 3.7134 2.9485
Au 1.8394 -3.7134 0.9828
```

Main lines, sorted by position (2θ from 10° to 90°):
2θ 24.8, I = 43
2θ 33.8, I = 100
2θ 35.4, I = 29
2θ 38.4, I = 75
2θ 42.4, I = 28
2θ 43.7, I = 30
2θ 46.2, I = 25
2θ 64.4, I = 33



(2)
Computed X-ray diffraction stick pattern
Compound: YPt2Au
Radiation: a wavelength of 1.5418 Å
Structure: a DFT-relaxed cell (GGA-PBE, Alexandria)

Structural model:
```
4
Lattice="-2.0600 2.0600 4.3553 2.0600 -2.0600 4.3553 2.0600 2.0600 -4.3553" Properties=species:S:1:pos:R:3 pbc="T T T"
Y 0.0000 0.0000 0.0000
Pt 2.0600 0.0000 2.1777
Pt 0.0000 0.0000 4.3553
Au 0.0000 2.0600 2.1777
```

Main lines, sorted by position (2θ from 10° to 90°):
2θ 37.1, I = 100
2θ 41.5, I = 18
2θ 44.0, I = 31
2θ 62.0, I = 23
2θ 63.9, I = 10
2θ 72.8, I = 14
2θ 76.3, I = 25
2θ 79.1, I = 11